Record 1
# Sr3WO6
Calculated X-ray diffraction stick pattern, Cu Kα, 1.54184 Å. Input: a crystal structure in the Materials Project, relaxed with PBE+U.
Intensities are scaled so that the largest is 100.

Structural model:
```
Sr3WO6
1.0
4.967 2.868 3.886
-4.967 2.868 3.886
0.000 -5.735 3.886
Sr W O
6 2 12
Cartesian
-2.497 -2.520 5.359
-3.431 0.903 6.298
0.934 -3.423 6.298
-0.934 3.423 5.359
3.431 -0.903 5.359
2.497 2.520 6.298
0.000 0.000 0.000
0.000 0.000 5.828
-4.371 -1.389 6.613
-0.983 -4.479 5.044
-1.639 -0.221 4.742
-3.388 3.091 5.044
1.011 -1.309 4.742
-0.628 -1.530 6.914
0.628 1.530 4.742
-1.011 1.309 6.914
3.388 -3.091 6.613
1.639 0.221 6.914
0.983 4.479 6.613
4.371 1.389 5.044
```

The 6 most intense peaks (2θ from 15° to 90°), most intense first:
2θ = 31.51°, 2.840 Å, I 100; 2θ = 25.74°, 3.461 Å, I 70; 2θ = 28.50°, 3.132 Å, I 62; 2θ = 18.39°, 4.825 Å, I 57; 2θ = 41.62°, 2.170 Å, I 50; 2θ = 17.86°, 4.967 Å, I 40

=====

Record 2
# Li4Ti2Fe5O12
Calculated X-ray diffraction stick pattern, Cu Kα, 1.54184 Å. Input: a crystal structure in the Materials Project, relaxed with PBE+U.
Intensities are scaled so that the largest is 100.

Structural model:
```
Li4Ti2Fe5O12
1.0
5.112 0.000 0.000
0.000 9.214 0.000
-1.980 0.000 9.771
Li Ti Fe O
8 4 10 24
Cartesian
-0.475 0.000 2.398
-1.466 7.683 7.411
-0.669 9.165 9.767
2.049 7.695 2.404
1.084 3.088 7.367
3.802 4.558 0.004
4.599 3.076 2.360
3.607 4.607 7.372
0.304 1.501 5.009
1.298 6.075 0.128
1.835 1.468 9.643
2.829 6.108 4.762
-1.472 1.430 7.353
0.275 7.701 4.959
1.278 3.095 0.052
0.381 4.524 4.847
2.046 1.530 2.438
1.087 6.137 7.333
2.751 9.131 4.924
1.855 7.702 9.719
2.858 3.094 4.812
4.604 6.037 2.418
0.399 7.523 1.108
0.424 4.632 1.056
0.419 1.607 1.154
-0.539 0.056 5.982
-0.535 6.052 6.088
-0.507 2.905 6.036
1.032 2.851 3.702
1.108 0.136 3.625
0.106 4.664 8.652
0.182 7.415 8.607
1.187 6.221 3.757
0.210 1.658 8.646
2.922 6.265 1.125
1.946 1.614 6.014
2.951 2.808 1.164
3.027 0.057 1.119
2.024 4.743 6.146
2.101 7.458 6.069
3.640 7.512 3.735
3.668 1.445 3.683
3.672 4.663 3.789
2.714 6.214 8.616
2.708 0.026 8.715
2.733 2.916 8.663
```

The 6 most intense peaks (2θ from 15° to 90°), most intense first:
2θ = 41.97°, 2.153 Å, I 100; 2θ = 43.76°, 2.069 Å, I 44; 2θ = 18.16°, 4.885 Å, I 36; 2θ = 23.57°, 3.774 Å, I 29; 2θ = 62.33°, 1.490 Å, I 26; 2θ = 62.15°, 1.494 Å, I 24

=====

Record 3
# BaYMnCuO5
Calculated X-ray diffraction stick pattern, Cu Kα, 1.54184 Å. Input: a crystal structure in the Materials Project, relaxed with PBE+U.
Intensities are scaled so that the largest is 100.

Structural model:
```
BaYMnCuO5
1.0
0.000 3.908 7.829
3.891 0.000 7.829
3.891 3.908 0.000
Ba Y Mn Cu O
2 2 2 2 10
Cartesian
1.946 1.954 0.000
1.946 1.954 7.829
1.946 1.954 4.152
5.837 5.862 11.981
3.891 3.908 2.269
3.891 3.908 10.105
3.891 3.908 5.818
3.891 3.908 13.692
3.891 3.908 0.287
3.891 1.962 5.565
5.829 3.908 5.556
5.834 3.908 10.540
3.891 1.960 10.554
3.891 3.908 8.131
1.954 3.908 5.556
3.891 5.854 5.565
1.949 3.908 10.540
3.891 5.856 10.554
```

The 6 most intense peaks (2θ from 15° to 90°), most intense first:
2θ = 32.43°, 2.761 Å, I 100; 2θ = 57.79°, 1.595 Å, I 26; 2θ = 46.44°, 1.955 Å, I 17; 2θ = 57.96°, 1.591 Å, I 13; 2θ = 46.69°, 1.946 Å, I 11; 2θ = 67.97°, 1.379 Å, I 10

=====

Record 4
# Li2VC2O6
Calculated X-ray diffraction stick pattern, Cu Kα, 1.54184 Å. Input: a crystal structure in the Materials Project, relaxed with PBE+U.
Intensities are scaled so that the largest is 100.

Structural model:
```
Li2VC2O6
1.0
5.230 0.000 0.000
0.000 15.328 0.000
-2.933 0.000 7.189
Li V C O
8 4 8 24
Cartesian
2.296 1.034 7.186
-1.467 6.628 3.594
0.000 8.700 0.000
3.763 14.294 3.592
2.535 2.799 4.479
4.003 4.867 0.885
2.536 10.461 4.479
4.002 12.529 0.885
-0.200 1.917 5.835
1.269 5.751 2.239
-0.198 9.577 5.833
1.267 13.411 2.240
-1.513 3.767 7.105
-0.045 3.899 3.511
-1.512 11.429 7.105
-0.046 11.561 3.511
1.115 0.068 4.561
2.581 15.261 0.966
2.584 7.601 0.969
1.117 7.727 4.564
-2.101 2.747 6.518
-0.634 4.918 2.922
-2.101 10.411 6.517
-0.634 12.581 2.923
-0.753 3.001 4.093
0.714 4.667 0.496
-0.753 10.661 4.090
0.714 12.327 0.499
-0.181 0.036 4.623
1.285 15.292 1.029
1.288 7.632 1.030
-0.179 7.696 4.624
-0.217 3.798 7.044
1.250 3.868 3.446
-0.216 11.460 7.040
1.250 11.530 3.450
3.289 0.831 0.385
1.822 14.497 3.980
1.824 6.825 3.987
3.291 8.503 0.393
1.703 1.086 5.150
3.170 14.242 1.555
3.171 6.580 1.555
1.704 8.748 5.149
```

The 6 most intense peaks (2θ from 15° to 90°), most intense first:
2θ = 16.91°, 5.243 Å, I 100; 2θ = 18.32°, 4.842 Å, I 37; 2θ = 34.17°, 2.624 Å, I 31; 2θ = 21.71°, 4.094 Å, I 18; 2θ = 27.41°, 3.254 Å, I 18; 2θ = 21.27°, 4.177 Å, I 18

=====

Record 5
# Li3Fe2P5O16
Calculated X-ray diffraction stick pattern, Cu Kα, 1.54184 Å. Input: a crystal structure in the Materials Project, relaxed with PBE+U.
Intensities are scaled so that the largest is 100.

Structural model:
```
Li3Fe2P5O16
1.0
5.075 0.000 0.000
0.000 6.986 0.000
-0.633 0.000 18.241
Li Fe P O
6 4 10 32
Cartesian
-0.158 0.155 4.560
-0.475 6.831 13.681
0.614 2.395 17.596
0.931 4.591 8.475
3.511 2.395 9.766
3.828 4.591 0.645
0.892 1.195 7.509
0.575 5.790 16.629
3.867 1.195 1.612
3.550 5.790 10.732
1.171 3.300 2.282
0.855 3.686 11.402
1.030 0.904 10.712
1.347 6.082 1.592
2.379 1.707 4.560
2.063 5.279 13.681
3.095 0.904 16.649
3.412 6.082 7.529
3.587 3.300 6.839
3.271 3.686 15.959
-0.018 3.124 7.163
-0.335 3.862 16.283
0.276 1.475 9.498
0.593 5.511 0.378
0.571 0.163 2.355
0.254 6.823 11.476
1.116 2.161 11.787
1.433 4.825 2.667
1.448 2.699 3.740
1.131 4.287 12.861
1.437 0.932 5.444
1.121 6.054 14.565
2.144 2.761 1.254
1.828 4.225 10.375
1.622 0.618 16.953
1.939 6.368 7.833
2.503 0.618 10.408
2.820 6.368 1.288
2.614 2.761 7.866
2.298 4.225 16.987
3.321 0.932 3.676
3.005 6.054 12.797
3.311 2.699 5.380
2.994 4.287 14.501
3.009 2.161 15.574
3.326 4.825 6.454
4.188 0.163 6.766
3.872 6.823 15.886
3.849 1.475 17.863
4.166 5.511 8.743
4.777 3.124 1.958
4.461 3.862 11.079
```

The 6 most intense peaks (2θ from 15° to 90°), most intense first:
2θ = 22.33°, 3.981 Å, I 100; 2θ = 19.47°, 4.560 Å, I 87; 2θ = 32.34°, 2.768 Å, I 55; 2θ = 31.38°, 2.850 Å, I 53; 2θ = 22.06°, 4.029 Å, I 50; 2θ = 29.38°, 3.040 Å, I 46

=====

Record 6
# Li5VP2O8F2
Calculated X-ray diffraction stick pattern, Cu Kα, 1.54184 Å. Input: a crystal structure in the Materials Project, relaxed with PBE+U.
Intensities are scaled so that the largest is 100.

Structural model:
```
Li5VP2O8F2
1.0
10.095 0.000 0.000
-5.048 8.743 0.000
0.000 0.000 6.576
Li V P O F
15 3 6 24 6
Cartesian
0.000 0.000 0.000
0.000 0.000 2.612
-2.527 4.693 4.512
-0.006 2.911 2.968
-2.524 7.292 2.968
2.550 1.171 1.446
0.000 5.829 3.351
0.000 5.829 5.968
2.247 4.208 4.512
0.280 8.585 4.512
5.048 2.914 2.895
5.048 2.914 6.095
2.529 7.282 2.968
4.787 5.950 1.446
7.807 1.623 1.446
-0.005 2.914 6.267
-2.522 7.290 6.267
2.527 7.282 6.267
-2.272 4.558 1.412
2.271 1.283 4.553
2.236 4.496 1.412
0.036 8.431 1.412
5.024 6.135 4.553
7.849 1.325 4.553
-3.540 6.469 4.701
-1.234 3.384 1.252
-1.929 5.346 2.691
-1.974 5.464 0.162
1.973 0.371 5.796
1.950 0.498 3.266
1.215 2.443 4.701
-1.500 8.119 1.252
1.302 4.302 0.162
1.382 4.399 2.691
3.693 1.857 4.591
0.546 7.740 2.691
0.671 7.720 0.162
3.430 3.531 1.392
5.322 1.205 1.392
2.734 5.982 1.252
2.325 8.574 4.701
4.809 4.616 4.591
6.640 2.270 4.591
4.382 6.849 5.796
4.504 6.805 3.266
6.391 4.007 1.392
8.689 1.440 3.266
8.788 1.523 5.796
-3.994 7.397 1.141
0.638 1.585 1.141
-0.639 4.248 4.820
-1.049 7.172 4.820
1.688 6.066 4.820
3.355 8.503 1.141
```

The 6 most intense peaks (2θ from 15° to 90°), most intense first:
2θ = 24.45°, 3.640 Å, I 100; 2θ = 50.12°, 1.820 Å, I 22; 2θ = 34.12°, 2.628 Å, I 20; 2θ = 16.87°, 5.255 Å, I 20; 2θ = 38.20°, 2.356 Å, I 19; 2θ = 38.63°, 2.331 Å, I 18

=====

Record 7
# HoMgV2O6
Calculated X-ray diffraction stick pattern, Cu Kα, 1.54184 Å. Input: a crystal structure in the Materials Project, relaxed with PBE+U.
Intensities are scaled so that the largest is 100.

Structural model:
```
HoMgV2O6
1.0
5.213 0.000 0.000
0.017 5.474 0.000
0.012 0.027 7.592
Ho Mg V O
2 2 4 12
Cartesian
0.000 0.000 0.000
2.609 2.005 3.786
2.493 2.668 7.585
5.067 4.807 3.775
2.533 5.057 1.896
2.544 5.071 5.690
5.142 2.422 5.689
5.140 2.399 1.893
0.498 2.706 3.784
0.962 4.013 1.390
1.015 4.115 6.121
1.575 1.359 6.160
1.641 1.255 1.428
1.847 5.347 3.775
3.150 4.797 7.582
3.486 3.526 2.355
3.530 3.462 5.205
4.089 0.625 5.234
4.168 0.674 2.378
4.478 2.138 0.001
```

The 6 most intense peaks (2θ from 15° to 90°), most intense first:
2θ = 20.67°, 4.297 Å, I 100; 2θ = 33.44°, 2.680 Å, I 100; 2θ = 33.52°, 2.674 Å, I 97; 2θ = 20.00°, 4.440 Å, I 88; 2θ = 34.41°, 2.606 Å, I 44; 2θ = 61.08°, 1.517 Å, I 38